# SmGa3Pt
Theoretical powder XRD pattern, Cu Kα. Input: a DFT-relaxed cell (GGA-PBE, Alexandria).
No peak broadening, texture or thermal motion is included.

a b c (Å): 4.147 4.147 5.719
angles (deg): 90.00 90.00 90.00
Space group P4mm (No. 99)
Asymmetric unit:
Sm 0.000 0.000 0.000 [1 per cell]
Ga 0.000 0.500 0.486 [2 per cell]
Ga 0.500 0.500 0.780 [1 per cell]
Pt 0.500 0.500 0.209 [1 per cell]

Most intense lines, 5° ≤ 2θ ≤ 70°, low angle first:
hkl  d [Å]  I_rel
1 0 1  3.357  28
1 1 0  2.932  35
1 1 1  2.609  100
1 0 2  2.354  83
2 0 0  2.074  59
2 1 2  1.556  46

=====

# Sm6PbSe2S3
Theoretical powder XRD pattern, Cu Kα. Input: a DFT-relaxed cell (GGA-PBE, Alexandria).
No peak broadening, texture or thermal motion is included.

a b c (Å): 18.203 4.103 8.416
angles (deg): 90.00 104.09 90.00
Space group C2/m (No. 12)
Asymmetric unit:
Sm 0.003 0.000 0.229 [4 per cell]
Sm 0.162 0.500 0.094 [4 per cell]
Sm 0.174 0.500 0.570 [4 per cell]
Pb 0.000 0.500 0.500 [2 per cell]
Se 0.169 0.000 0.836 [4 per cell]
S 0.000 0.500 0.000 [2 per cell]
S 0.166 0.000 0.328 [4 per cell]

Most intense lines, 5° ≤ 2θ ≤ 70°, low angle first:
hkl  d [Å]  I_rel
6 0 0  2.939  100
2 0 -4  2.104  12
7 1 -2  2.088  23
5 1 2  2.070  25
0 2 0  2.051  12
6 2 0  1.683  13

=====

# CsHg3
Theoretical powder XRD pattern, Cu Kα. Input: a DFT-relaxed cell (GGA-PBE, Alexandria).
No peak broadening, texture or thermal motion is included.

a b c (Å): 4.987 6.045 10.156
angles (deg): 90.00 90.00 90.00
Space group Immm (No. 71)
Asymmetric unit:
Cs 0.000 0.000 0.000 [2 per cell]
Hg 0.000 0.000 0.500 [2 per cell]
Hg 0.000 0.500 0.216 [4 per cell]

Most intense lines, 5° ≤ 2θ ≤ 70°, low angle first:
hkl  d [Å]  I_rel
1 1 2  3.066  100
0 2 0  3.023  27
2 0 0  2.493  16
2 2 0  1.924  20
1 3 2  1.753  20
3 1 2  1.528  13

=====

# TbTh2Pd7
Theoretical powder XRD pattern, Cu Kα. Input: a DFT-relaxed cell (GGA-PBE, Alexandria).
No peak broadening, texture or thermal motion is included.

a b c (Å): 5.751 8.626 17.151
angles (deg): 90.00 90.00 90.00
Space group Fmmm (No. 69)
Asymmetric unit:
Tb 0.000 0.000 0.000 [4 per cell]
Th 0.000 0.000 0.332 [8 per cell]
Pd 0.000 0.000 0.500 [4 per cell]
Pd 0.250 0.250 0.084 [16 per cell]
Pd 0.250 0.250 0.250 [8 per cell]

Most intense lines, 5° ≤ 2θ ≤ 70°, low angle first:
hkl  d [Å]  I_rel
1 1 3  3.669  81
2 2 0  2.392  100
0 2 6  2.383  99
0 4 0  2.157  37
2 0 6  2.027  61
2 4 6  1.477  44

=====

# Th3Ga2Rh6
Theoretical powder XRD pattern, Cu Kα. Input: a DFT-relaxed cell (GGA-PBE, Alexandria).
No peak broadening, texture or thermal motion is included.

a b c (Å): 9.472 9.472 9.472
angles (deg): 90.00 90.00 90.00
Space group Im-3m (No. 229)
Asymmetric unit:
Th 0.000 0.000 0.290 [12 per cell]
Ga 0.250 0.250 0.250 [8 per cell]
Rh 0.000 0.348 0.348 [24 per cell]

Most intense lines, 5° ≤ 2θ ≤ 70°, low angle first:
hkl  d [Å]  I_rel
3 1 0  2.995  25
2 2 2  2.734  36
3 2 1  2.531  24
4 0 0  2.368  15
3 3 0  2.233  100
5 2 1  1.729  22

=====

# Sb3AsS6
Theoretical powder XRD pattern, Cu Kα. Input: a DFT-relaxed cell (GGA-PBE, Alexandria).
No peak broadening, texture or thermal motion is included.

a b c (Å): 3.791 11.028 12.339
angles (deg): 90.00 90.00 90.00
Space group Pmc2_1 (No. 26)
Asymmetric unit:
Sb 0.000 0.086 0.000 [2 per cell]
Sb 0.000 0.285 0.679 [2 per cell]
Sb 0.500 0.225 0.402 [2 per cell]
As 0.500 0.427 0.093 [2 per cell]
S 0.000 0.067 0.343 [2 per cell]
S 0.000 0.311 0.161 [2 per cell]
S 0.000 0.387 0.501 [2 per cell]
S 0.500 0.129 0.585 [2 per cell]
S 0.500 0.202 0.910 [2 per cell]
S 0.500 0.447 0.742 [2 per cell]

Most intense lines, 5° ≤ 2θ ≤ 70°, low angle first:
hkl  d [Å]  I_rel
0 1 2  5.384  64
0 1 3  3.854  39
1 2 1  3.028  55
1 2 2  2.787  100
0 2 4  2.692  38
1 0 6  1.808  37